Starting from a DFT-relaxed cell (PBE, Alexandria), the powder X-ray diffraction pattern of Ac2CePr3As6 was computed for Cu Kα, 1.54184 Å.
No peak broadening, texture or thermal motion is included.

The 8 most intense peaks (10 to 90 degrees two-theta), most intense first:
2θ = 28.83°, 3.097 Å, I 100, (6 0 0)
2θ = 41.23°, 2.190 Å, I 76, (0 2 0)
2θ = 51.09°, 1.788 Å, I 27, (6 2 0)
2θ = 24.90°, 3.576 Å, I 26, (2 0 2)
2θ = 67.63°, 1.385 Å, I 23, (1 3 -2)
2θ = 75.14°, 1.264 Å, I 21, (7 3 -2)
2θ = 48.76°, 1.867 Å, I 13, (8 0 2)
2θ = 59.72°, 1.548 Å, I 13, (2 2 -4)

Structure:
```
data_Ac2CePr3As6
_chemical_formula_sum 'Ac4 Ce2 Pr6 As12'
_cell_length_a 19.077
_cell_length_b 4.378
_cell_length_c 8.769
_cell_angle_alpha 90.00
_cell_angle_beta 103.30
_cell_angle_gamma 90.00
_symmetry_space_group_name_H-M 'C 1 2/m 1'
_symmetry_Int_Tables_number 12
_symmetry_space_group_name_Hall '-C 2y'
loop_
_atom_site_label
_atom_site_type_symbol
_atom_site_fract_x
_atom_site_fract_y
_atom_site_fract_z
Ac1 Ac 0.166 0.000 0.332
Ce1 Ce 0.000 0.500 0.000
Pr1 Pr 0.000 0.500 0.500
Pr2 Pr 0.167 0.000 0.834
As1 As 0.003 0.000 0.758
As2 As 0.164 0.500 0.073
As3 As 0.164 0.500 0.591
```